Record 1
Simulated powder diffractogram of Y2NiSn6 for Cu Kα X-rays, from a structure optimized by DFT (PBE).

Cell and atoms:
```
data_Y2NiSn6
_space_group_name_H-M_alt 'C m m m'
_space_group_IT_number 65
_space_group_name_Hall '-C 2 2'
_cell_length_a 4.3753
_cell_length_b 22.7730
_cell_length_c 4.4330
_cell_angle_alpha 90.00
_cell_angle_beta 90.00
_cell_angle_gamma 90.00
loop_
_atom_site_label
_atom_site_fract_x
_atom_site_fract_y
_atom_site_fract_z
_atom_site_occupancy
Y1 0.0000 0.1774 0.0000 1
Ni1 0.0000 0.5000 0.5000 1
Sn1 0.0000 0.0697 0.5000 1
Sn2 0.0000 0.2948 0.5000 1
Sn3 0.0000 0.4307 0.0000 1
```

The 6 most intense peaks (2θ = 5–70°), sorted by position:
2θ 31.04, rel. 47; 2θ 31.43, rel. 31; 2θ 34.90, rel. 100; 2θ 40.71, rel. 30; 2θ 41.26, rel. 36; 2θ 59.35, rel. 25


Record 2
Simulated powder diffractogram of Ho4Hf3As4 for Cu Kα X-rays, from a structure optimized by DFT (PBE).

Cell and atoms:
```
data_Ho4Hf3As4
_space_group_name_H-M_alt 'P 1 m 1'
_space_group_IT_number 6
_space_group_name_Hall 'P -2y'
_cell_length_a 7.4052
_cell_length_b 3.8493
_cell_length_c 8.9209
_cell_angle_alpha 90.00
_cell_angle_beta 98.17
_cell_angle_gamma 90.00
loop_
_atom_site_label
_atom_site_fract_x
_atom_site_fract_y
_atom_site_fract_z
_atom_site_occupancy
Ho1 0.0000 0.0000 0.0000 1
Ho2 0.0694 0.5000 0.4466 1
Ho3 0.4439 0.0000 0.5952 1
Ho4 0.7449 0.5000 0.1481 1
Hf1 0.3157 0.5000 0.8748 1
Hf2 0.4442 0.0000 0.2253 1
Hf3 0.7841 0.5000 0.7496 1
As1 0.0766 0.0000 0.6999 1
As2 0.2026 0.5000 0.1600 1
As3 0.5940 0.0000 0.9191 1
As4 0.6502 0.5000 0.4401 1
```

The 6 most intense peaks (2θ = 5–70°), sorted by position:
2θ 32.10, rel. 37; 2θ 33.77, rel. 95; 2θ 34.27, rel. 44; 2θ 36.33, rel. 100; 2θ 38.50, rel. 69; 2θ 47.23, rel. 48


Record 3
Simulated powder diffractogram of PrYBC2 for Cu Kα X-rays, from a structure optimized by DFT (PBE).

Cell and atoms:
```
data_PrYBC2
_space_group_name_H-M_alt 'C 1 m 1'
_space_group_IT_number 8
_space_group_name_Hall 'C -2y'
_cell_length_a 5.3061
_cell_length_b 5.3054
_cell_length_c 6.1008
_cell_angle_alpha 90.00
_cell_angle_beta 114.86
_cell_angle_gamma 90.00
loop_
_atom_site_label
_atom_site_fract_x
_atom_site_fract_y
_atom_site_fract_z
_atom_site_occupancy
Pr1 0.0000 0.0000 0.0000 1
Y1 0.2001 0.5000 0.4130 1
B1 0.3574 0.0000 0.7191 1
C1 0.2191 0.0000 0.4497 1
C2 0.4925 0.0000 0.9868 1
```

The 6 most intense peaks (2θ = 5–70°), sorted by position:
2θ 24.98, rel. 28; 2θ 25.15, rel. 30; 2θ 32.35, rel. 23; 2θ 33.83, rel. 100; 2θ 34.28, rel. 37; 2θ 48.53, rel. 21


Record 4
Simulated powder diffractogram of Sc5In4Co2 for Cu Kα X-rays, from a structure optimized by DFT (PBE).

Cell and atoms:
```
data_Sc5In4Co2
_space_group_name_H-M_alt 'P b a m'
_space_group_IT_number 55
_space_group_name_Hall '-P 2 2ab'
_cell_length_a 7.5811
_cell_length_b 17.3004
_cell_length_c 3.3264
_cell_angle_alpha 90.00
_cell_angle_beta 90.00
_cell_angle_gamma 90.00
loop_
_atom_site_label
_atom_site_fract_x
_atom_site_fract_y
_atom_site_fract_z
_atom_site_occupancy
Sc1 0.0000 0.0000 0.0000 1
Sc2 0.1229 0.4103 0.0000 1
Sc3 0.2451 0.7216 0.0000 1
In1 0.0693 0.8477 0.5000 1
In2 0.2011 0.5684 0.5000 1
Co1 0.0361 0.3064 0.5000 1
```

The 6 most intense peaks (2θ = 5–70°), sorted by position:
2θ 26.80, rel. 42; 2θ 36.06, rel. 100; 2θ 37.06, rel. 56; 2θ 37.44, rel. 78; 2θ 38.31, rel. 45; 2θ 39.27, rel. 82


Record 5
Simulated powder diffractogram of H6PdC9S5N4 for Cu Kα X-rays, from a structure optimized by DFT (PBE).

Cell and atoms:
```
data_H6PdC9S5N4
_space_group_name_H-M_alt 'P 1 21/m 1'
_space_group_IT_number 11
_space_group_name_Hall '-P 2yb'
_cell_length_a 4.9406
_cell_length_b 13.7368
_cell_length_c 10.6007
_cell_angle_alpha 90.00
_cell_angle_beta 93.43
_cell_angle_gamma 90.00
loop_
_atom_site_label
_atom_site_fract_x
_atom_site_fract_y
_atom_site_fract_z
_atom_site_occupancy
H1 0.0818 0.0651 0.1159 1
H2 0.1397 0.5239 0.7662 1
H3 0.2710 0.5436 0.9251 1
Pd1 0.2477 0.2500 0.4726 1
C1 0.0629 0.7500 0.8733 1
C2 0.1234 0.5688 0.8509 1
C3 0.1331 0.6994 0.3105 1
C4 0.2795 0.6467 0.2226 1
C5 0.3625 0.6978 0.7351 1
S1 0.0427 0.1328 0.5840 1
S2 0.1716 0.2500 0.0240 1
S3 0.4602 0.1291 0.3611 1
N1 0.1810 0.6690 0.8190 1
N2 0.3985 0.6019 0.1497 1
```

The 6 most intense peaks (2θ = 5–70°), sorted by position:
2θ 8.36, rel. 82; 2θ 12.89, rel. 85; 2θ 15.38, rel. 25; 2θ 21.33, rel. 37; 2θ 26.24, rel. 100; 2θ 30.99, rel. 34


Record 6
Simulated powder diffractogram of Th2AuF11 for Cu Kα X-rays, from a structure optimized by DFT (PBE).

Cell and atoms:
```
data_Th2AuF11
_space_group_name_H-M_alt 'I 4/m c m'
_space_group_IT_number 140
_space_group_name_Hall '-I 4 2c'
_cell_length_a 11.1790
_cell_length_b 11.1790
_cell_length_c 6.1950
_cell_angle_alpha 90.00
_cell_angle_beta 90.00
_cell_angle_gamma 90.00
loop_
_atom_site_label
_atom_site_fract_x
_atom_site_fract_y
_atom_site_fract_z
_atom_site_occupancy
Th1 0.1451 0.3549 0.0000 1
Au1 0.0000 0.0000 0.0000 1
F1 0.0000 0.3010 0.2500 1
F2 0.0000 0.5000 0.0000 1
F3 0.1184 0.1270 0.0000 1
F4 0.2500 0.2500 0.2500 1
```

The 6 most intense peaks (2θ = 5–70°), sorted by position:
2θ 22.86, rel. 100; 2θ 25.19, rel. 56; 2θ 28.82, rel. 23; 2θ 38.65, rel. 31; 2θ 46.12, rel. 26; 2θ 46.69, rel. 18


Record 7
Simulated powder diffractogram of HfTaCo for Cu Kα X-rays, from a structure optimized by DFT (PBE).

Cell and atoms:
```
data_HfTaCo
_space_group_name_H-M_alt 'I m a 2'
_space_group_IT_number 46
_space_group_name_Hall 'I 2 -2a'
_cell_length_a 5.1666
_cell_length_b 6.1907
_cell_length_c 6.1786
_cell_angle_alpha 90.00
_cell_angle_beta 90.00
_cell_angle_gamma 90.00
loop_
_atom_site_label
_atom_site_fract_x
_atom_site_fract_y
_atom_site_fract_z
_atom_site_occupancy
Hf1 0.2500 0.1634 0.0000 1
Ta1 0.2500 0.6657 0.1718 1
Co1 0.0000 0.0000 0.3383 1
```

The 6 most intense peaks (2θ = 5–70°), sorted by position:
2θ 34.73, rel. 17; 2θ 36.86, rel. 100; 2θ 40.56, rel. 13; 2θ 45.77, rel. 20; 2θ 46.43, rel. 21; 2θ 63.65, rel. 21


Record 8
Simulated powder diffractogram of CdInGaTeSe3 for Cu Kα X-rays, from a structure optimized by DFT (PBE).

Cell and atoms:
```
data_CdInGaTeSe3
_space_group_name_H-M_alt 'P 1'
_space_group_IT_number 1
_space_group_name_Hall 'P 1'
_cell_length_a 6.0821
_cell_length_b 6.1146
_cell_length_c 7.0498
_cell_angle_alpha 114.14
_cell_angle_beta 114.39
_cell_angle_gamma 91.32
loop_
_atom_site_label
_atom_site_fract_x
_atom_site_fract_y
_atom_site_fract_z
_atom_site_occupancy
Cd1 0.0000 0.0000 0.0000 1
In1 0.5143 0.4871 0.0008 1
Ga1 0.7726 0.2596 0.5125 1
Te1 0.3957 0.8768 0.3018 1
Se1 0.1220 0.1130 0.7191 1
Se2 0.6190 0.5991 0.7187 1
Se3 0.9030 0.3941 0.2833 1
```

The 6 most intense peaks (2θ = 5–70°), sorted by position:
2θ 25.65, rel. 51; 2θ 25.81, rel. 100; 2θ 26.37, rel. 40; 2θ 41.41, rel. 28; 2θ 42.42, rel. 25; 2θ 43.79, rel. 39